The following is a calculated PXRD pattern of HoAl3Pt3. It was derived from DFT lattice parameters and positions (GGA-PBE), using Cu Ka.
Kinematic intensities with the Lorentz-polarization factor, no thermal factor.

The 8 most intense peaks (10° ≤ 2θ ≤ 80°), in order of rising 2θ:
26.4°, I = 43, (2 0 0); 29.5°, I = 94, (2 1 0); 32.4°, I = 100, (2 1 1); 46.5°, I = 21, (2 2 2); 48.6°, I = 25, (3 2 0); 50.5°, I = 58, (3 2 1); 54.3°, I = 27, (4 0 0); 63.0°, I = 23, (4 2 1)

Unit cell a=6.761 b=6.761 c=6.761 alpha=90.00 beta=90.00 gamma=90.00
Sites, in units of the cell vectors:
Ho (0.000, 0.000, 0.000)
Ho (0.500, 0.500, 0.500)
Al (0.000, 0.250, 0.500)
Al (0.000, 0.750, 0.500)
Al (0.250, 0.500, 0.000)
Al (0.500, 0.000, 0.250)
Al (0.500, 0.000, 0.750)
Al (0.750, 0.500, 0.000)
Pt (0.000, 0.500, 0.250)
Pt (0.000, 0.500, 0.750)
Pt (0.250, 0.000, 0.500)
Pt (0.500, 0.250, 0.000)
Pt (0.500, 0.750, 0.000)
Pt (0.750, 0.000, 0.500)